1.
Diffraction record for Cu5Ag2. The powder X-ray diffraction pattern is theoretical, not measured: it uses a cell relaxed with GGA-PBE and Cu Kα, 1.54184 Å.
Kinematic intensities with the Lorentz-polarization factor, no thermal factor.

Top 10 peaks for 2θ from 5° to 70°, in order of falling intensity:
| d (Å) | 2θ/deg | I (rel.) |
| --- | --- | --- |
| 2.177 | 41.47 | 100 |
| 2.189 | 41.24 | 95 |
| 1.933 | 47.00 | 64 |
| 1.813 | 50.32 | 28 |
| 1.361 | 68.99 | 10 |
| 2.638 | 33.98 | 9 |
| 1.373 | 68.32 | 8 |
| 3.564 | 24.98 | 8 |
| 2.222 | 40.61 | 5 |
| 2.696 | 33.24 | 4 |

Structure:
```
Cu5Ag2
1.0
-1.3613 1.8135 9.6103
1.3613 -1.8135 9.6103
1.3613 1.8135 -9.6103
Cu Ag
5 2
Direct
0.0000 0.0000 0.0000
0.1528 0.1528 0.0000
0.2827 0.2827 0.0000
0.7173 0.7173 0.0000
0.8472 0.8472 0.0000
0.4240 0.4240 0.0000
0.5760 0.5760 0.0000
```

=====

2.
Diffraction record for Cu21Ag19. The powder X-ray diffraction pattern is theoretical, not measured: it uses a cell relaxed with GGA-PBE and Cu Kα, 1.54184 Å.
Kinematic intensities with the Lorentz-polarization factor, no thermal factor.

Top 10 peaks for 2θ from 5° to 70°, in order of falling intensity:
| d (Å) | 2θ/deg | I (rel.) |
| --- | --- | --- |
| 2.254 | 40.00 | 100 |
| 1.960 | 46.33 | 64 |
| 2.247 | 40.12 | 50 |
| 2.237 | 40.32 | 48 |
| 1.922 | 47.29 | 29 |
| 1.375 | 68.22 | 18 |
| 1.370 | 68.49 | 17 |
| 1.391 | 67.29 | 10 |
| 1.380 | 67.91 | 9 |
| 3.166 | 28.19 | 3 |

Structure:
```
Cu21Ag19
1.0
5.5655 0.0000 0.0000
0.0099 9.4873 0.0000
0.0146 3.3416 11.1856
Cu Ag
21 19
Direct
0.0000 0.0000 0.0000
0.9997 0.7989 0.5903
0.0041 0.8933 0.7873
0.0099 0.4911 0.0014
0.0122 0.1018 0.1915
0.2329 0.4528 0.3908
0.2427 0.3457 0.1807
0.2475 0.6494 0.7961
0.2492 0.9472 0.3888
0.2514 0.2405 0.0048
0.4907 0.4893 0.9966
0.4915 0.0977 0.1922
0.5009 0.9993 0.0038
0.7526 0.8591 0.1890
0.7575 0.0470 0.5906
0.7597 0.5499 0.5864
0.7653 0.3517 0.1853
0.7724 0.4546 0.3943
0.9956 0.3026 0.5867
0.9974 0.6953 0.3885
0.9992 0.5844 0.2017
0.0007 0.2101 0.3840
0.0050 0.3970 0.7979
0.2341 0.5515 0.5886
0.2391 0.0487 0.5886
0.2399 0.8505 0.1937
0.2453 0.7428 0.9934
0.2520 0.1409 0.8035
0.5005 0.2112 0.3773
0.5002 0.4030 0.7958
0.5003 0.5771 0.1985
0.5017 0.8948 0.7934
0.5043 0.7969 0.5909
0.5083 0.3039 0.5845
0.5081 0.6932 0.3893
0.7499 0.2423 0.0038
0.7556 0.7490 0.0029
0.7602 0.1391 0.7934
0.7634 0.9493 0.3861
0.7652 0.6477 0.7979
```

=====

3.
Diffraction record for Cu3Ag5. The powder X-ray diffraction pattern is theoretical, not measured: it uses a cell relaxed with GGA-PBE and Cu Kα, 1.54184 Å.
Kinematic intensities with the Lorentz-polarization factor, no thermal factor.

Top 10 peaks for 2θ from 5° to 70°, in order of falling intensity:
| d (Å) | 2θ/deg | I (rel.) |
| --- | --- | --- |
| 2.282 | 39.49 | 100 |
| 2.303 | 39.12 | 99 |
| 2.029 | 44.67 | 68 |
| 1.389 | 67.42 | 35 |
| 1.906 | 47.72 | 27 |
| 1.424 | 65.53 | 10 |
| 1.445 | 64.49 | 10 |
| 3.182 | 28.04 | 9 |
| 2.555 | 35.12 | 5 |
| 1.472 | 63.16 | 4 |

Structure:
```
Cu3Ag5
1.0
2.8489 0.0000 0.0000
0.0000 3.8114 5.7799
0.0000 -3.8114 5.7799
Cu Ag
3 5
Direct
0.0000 0.0000 0.0000
0.5000 0.1306 0.6553
0.5000 0.6553 0.1306
0.0000 0.2743 0.2743
0.0000 0.5092 0.5092
0.0000 0.7669 0.7669
0.5000 0.3659 0.8972
0.5000 0.8972 0.3659
```

=====

4.
Diffraction record for Cu5Ag3. The powder X-ray diffraction pattern is theoretical, not measured: it uses a cell relaxed with GGA-PBE and Cu Kα, 1.54184 Å.
Kinematic intensities with the Lorentz-polarization factor, no thermal factor.

Top 10 peaks for 2θ from 5° to 70°, in order of falling intensity:
| d (Å) | 2θ/deg | I (rel.) |
| --- | --- | --- |
| 2.220 | 40.64 | 100 |
| 1.939 | 46.86 | 32 |
| 1.354 | 69.42 | 18 |
| 1.891 | 48.11 | 15 |
| 3.115 | 28.65 | 5 |
| 1.369 | 68.56 | 5 |
| 1.373 | 68.31 | 4 |
| 2.450 | 36.68 | 3 |
| 1.412 | 66.19 | 2 |
| 5.493 | 16.14 | 2 |

Structure:
```
Cu5Ag3
1.0
0.0000 3.7825 5.4927
2.7374 0.0000 5.4927
2.7374 3.7825 0.0000
Cu Ag
5 3
Direct
0.0000 0.0000 0.0000
0.1076 0.1076 0.3924
0.2271 0.2271 0.7729
0.4879 0.4879 0.5121
0.6076 0.6076 0.8924
0.3656 0.3656 0.1344
0.7255 0.7255 0.2745
0.8656 0.8656 0.6344
```

=====

5.
Diffraction record for Cu3Ag7. The powder X-ray diffraction pattern is theoretical, not measured: it uses a cell relaxed with GGA-PBE and Cu Kα, 1.54184 Å.
Kinematic intensities with the Lorentz-polarization factor, no thermal factor.

Top 10 peaks for 2θ from 5° to 70°, in order of falling intensity:
| d (Å) | 2θ/deg | I (rel.) |
| --- | --- | --- |
| 2.323 | 38.77 | 100 |
| 2.030 | 44.64 | 33 |
| 1.416 | 65.97 | 19 |
| 1.977 | 45.91 | 15 |
| 1.435 | 64.97 | 10 |
| 3.811 | 23.34 | 2 |
| 2.815 | 31.79 | 1 |
| 3.047 | 29.31 | 1 |
| 3.588 | 24.81 | 1 |
| 1.667 | 55.11 | 1 |

Structure:
```
Cu3Ag7
1.0
2.4428 -7.1769 0.0000
2.4428 7.1769 0.0000
-1.5119 0.0000 4.6453
Cu Ag
3 7
Direct
0.0000 0.0000 0.0000
0.5045 0.4955 0.5000
0.8079 0.1921 0.0000
0.0980 0.9020 0.5000
0.2046 0.7954 0.0000
0.3068 0.6932 0.5000
0.4072 0.5928 0.0000
0.6009 0.3991 0.0000
0.7047 0.2953 0.5000
0.9057 0.0943 0.5000
```

=====

6.
Diffraction record for Cu6Ag. The powder X-ray diffraction pattern is theoretical, not measured: it uses a cell relaxed with GGA-PBE and Cu Kα, 1.54184 Å.
Kinematic intensities with the Lorentz-polarization factor, no thermal factor.

Top 10 peaks for 2θ from 5° to 70°, in order of falling intensity:
| d (Å) | 2θ/deg | I (rel.) |
| --- | --- | --- |
| 2.146 | 42.11 | 100 |
| 1.865 | 48.84 | 64 |
| 2.139 | 42.24 | 49 |
| 2.117 | 42.71 | 48 |
| 1.824 | 50.01 | 27 |
| 2.300 | 39.17 | 3 |
| 2.428 | 37.03 | 3 |
| 2.769 | 32.33 | 2 |
| 3.004 | 29.74 | 2 |
| 3.898 | 22.81 | 2 |

Structure:
```
Cu6Ag
1.0
4.3148 -1.3269 0.0000
4.3148 1.3269 0.0000
-0.6359 0.0000 7.7533
Cu Ag
6 1
Direct
0.0705 0.0705 0.3014
0.2193 0.2193 0.8433
0.3554 0.3554 0.4287
0.6446 0.6446 0.5713
0.7807 0.7807 0.1567
0.9295 0.9295 0.6986
0.5000 0.5000 0.0000
```

=====

7.
Diffraction record for Cu3Ag7. The powder X-ray diffraction pattern is theoretical, not measured: it uses a cell relaxed with GGA-PBE and Cu Kα, 1.54184 Å.
Kinematic intensities with the Lorentz-polarization factor, no thermal factor.

Top 10 peaks for 2θ from 5° to 70°, in order of falling intensity:
| d (Å) | 2θ/deg | I (rel.) |
| --- | --- | --- |
| 2.311 | 38.97 | 100 |
| 2.036 | 44.50 | 45 |
| 2.318 | 38.85 | 34 |
| 1.942 | 46.78 | 18 |
| 1.404 | 66.63 | 13 |
| 1.407 | 66.46 | 12 |
| 1.438 | 64.85 | 7 |
| 1.441 | 64.67 | 7 |
| 2.723 | 32.89 | 4 |
| 2.708 | 33.08 | 3 |

Structure:
```
Cu3Ag7
1.0
6.0062 -1.4377 0.0000
6.0062 1.4377 0.0000
-1.6692 0.0000 9.3212
Cu Ag
3 7
Direct
0.0000 0.0000 0.0000
0.5007 0.5007 0.5142
0.9029 0.9029 0.6920
0.0990 0.0990 0.3135
0.2005 0.2005 0.6053
0.3111 0.3111 0.8930
0.4034 0.4034 0.1924
0.5881 0.5881 0.8032
0.6934 0.6934 0.0980
0.8125 0.8125 0.4069
```

=====

8.
Diffraction record for CuAg7. The powder X-ray diffraction pattern is theoretical, not measured: it uses a cell relaxed with GGA-PBE and Cu Kα, 1.54184 Å.
Kinematic intensities with the Lorentz-polarization factor, no thermal factor.

Top 10 peaks for 2θ from 5° to 70°, in order of falling intensity:
| d (Å) | 2θ/deg | I (rel.) |
| --- | --- | --- |
| 2.365 | 38.05 | 100 |
| 2.050 | 44.18 | 32 |
| 1.447 | 64.36 | 19 |
| 2.044 | 44.31 | 16 |
| 1.450 | 64.26 | 10 |
| 2.729 | 32.81 | 2 |
| 3.977 | 22.36 | 1 |
| 1.424 | 65.54 | 1 |
| 3.277 | 27.22 | 1 |
| 1.638 | 56.14 | 1 |

Structure:
```
CuAg7
1.0
-2.0500 2.0500 8.1762
2.0500 -2.0500 8.1762
2.0500 2.0500 -8.1762
Cu Ag
1 7
Direct
0.0000 0.0000 0.0000
0.1207 0.6207 0.5000
0.2502 0.2502 0.0000
0.3793 0.8793 0.5000
0.5000 0.5000 0.0000
0.6207 0.1207 0.5000
0.7498 0.7498 0.0000
0.8793 0.3793 0.5000
```